Record 1
Calculated X-ray diffraction stick pattern
Compound: LaPm8Y4
Radiation: Cu Kα
Structure: the PBE geometry in Alexandria
Kinematic intensities with the Lorentz-polarization factor, no thermal factor.

Most intense lines, 2θ = 10–80°, by angle:
(2 0 2), 3.963 Å, 2θ = 22.43°, rel. 38
(2 2 0), 2.822 Å, 2θ = 31.71°, rel. 100
(0 2 4), 2.783 Å, 2θ = 32.16°, rel. 94
(4 0 4), 1.982 Å, 2θ = 45.79°, rel. 34
(6 0 0), 1.629 Å, 2θ = 56.48°, rel. 18
(2 4 4), 1.622 Å, 2θ = 56.77°, rel. 36
(2 0 8), 1.599 Å, 2θ = 57.63°, rel. 16
(4 4 0), 1.411 Å, 2θ = 66.24°, rel. 11
(6 2 4), 1.258 Å, 2θ = 75.55°, rel. 14
(4 2 8), 1.248 Å, 2θ = 76.30°, rel. 13

Structure:
```
data_LaPm8Y4
_cell_length_a 11.2879
_cell_length_b 11.2879
_cell_length_c 13.5415
_cell_angle_alpha 90.00
_cell_angle_beta 90.00
_cell_angle_gamma 120.00
_space_group_name_H-M_alt 'R -3 m'
_space_group_IT_number 166
_space_group_name_Hall '-R 3 2"'
loop_
_atom_site_label
_atom_site_fract_x
_atom_site_fract_y
_atom_site_fract_z
La1 0.0000 0.0000 0.0000
Pm1 0.0000 0.0000 0.2621
Pm2 0.0130 0.5065 0.2427
Y1 0.0000 0.0000 0.5000
Y2 0.0000 0.5000 0.5000
```

***

Record 2
Calculated X-ray diffraction stick pattern
Compound: Mn2HgCl8
Radiation: Cu Kα
Structure: the PBE geometry in Alexandria
Kinematic intensities with the Lorentz-polarization factor, no thermal factor.

Most intense lines, 2θ = 10–80°, by angle:
(0 1 1), 6.464 Å, 2θ = 13.70°, rel. 100
(0 1 -1), 6.257 Å, 2θ = 14.16°, rel. 28
(0 1 -2), 4.316 Å, 2θ = 20.58°, rel. 39
(1 1 0), 3.752 Å, 2θ = 23.71°, rel. 20
(1 0 -1), 3.525 Å, 2θ = 25.27°, rel. 21
(0 0 3), 3.492 Å, 2θ = 25.51°, rel. 20
(0 1 -3), 3.159 Å, 2θ = 28.25°, rel. 24
(1 2 0), 3.096 Å, 2θ = 28.84°, rel. 19
(1 1 3), 2.641 Å, 2θ = 33.95°, rel. 26
(1 -2 0), 2.513 Å, 2θ = 35.73°, rel. 16

Structure:
```
data_Mn2HgCl8
_cell_length_a 3.898
_cell_length_b 8.184
_cell_length_c 10.498
_cell_angle_alpha 87.44
_cell_angle_beta 86.78
_cell_angle_gamma 77.97
_space_group_name_H-M_alt 'P -1'
_space_group_IT_number 2
loop_
_space_group_symop_operation_xyz
'x,y,z'
'-x,-y,-z'
loop_
_atom_site_label
_atom_site_fract_x
_atom_site_fract_y
_atom_site_fract_z
Mn1 0.165 0.384 0.137
Hg1 0.500 0.000 0.500
Cl1 0.040 0.211 0.571
Cl2 0.082 0.661 0.055
Cl3 0.293 0.117 0.178
Cl4 0.420 0.560 0.737
```

***

Record 3
Calculated X-ray diffraction stick pattern
Compound: MgAsPd3
Radiation: Cu Kα
Structure: the PBE geometry in Alexandria
Kinematic intensities with the Lorentz-polarization factor, no thermal factor.

Most intense lines, 2θ = 10–80°, by angle:
(0 1 -1), 4.866 Å, 2θ = 18.23°, rel. 15
(0 2 -1), 2.749 Å, 2θ = 32.58°, rel. 12
(1 0 2), 2.336 Å, 2θ = 38.55°, rel. 100
(1 2 -1), 2.284 Å, 2θ = 39.46°, rel. 76
(0 2 -3), 2.025 Å, 2θ = 44.76°, rel. 23
(2 0 -1), 1.988 Å, 2θ = 45.63°, rel. 60
(2 2 -4), 1.419 Å, 2θ = 65.81°, rel. 13
(2 2 1), 1.406 Å, 2θ = 66.52°, rel. 18
(1 2 4), 1.211 Å, 2θ = 79.08°, rel. 11
(3 0 1), 1.205 Å, 2θ = 79.53°, rel. 15

Structure:
```
data_MgAsPd3
_cell_length_a 3.979
_cell_length_b 5.579
_cell_length_c 7.637
_cell_angle_alpha 101.59
_cell_angle_beta 105.08
_cell_angle_gamma 90.01
_space_group_name_H-M_alt 'P -1'
_space_group_IT_number 2
loop_
_space_group_symop_operation_xyz
'x,y,z'
'-x,-y,-z'
loop_
_atom_site_label
_atom_site_fract_x
_atom_site_fract_y
_atom_site_fract_z
Mg1 0.089 0.293 0.179
As1 0.313 0.334 0.626
Pd1 0.103 0.805 0.207
Pd2 0.304 0.853 0.605
Pd3 0.500 0.000 0.000
Pd4 0.500 0.500 0.000
```

***

Record 4
Calculated X-ray diffraction stick pattern
Compound: Er3MgGa7
Radiation: Cu Kα
Structure: the PBE geometry in Alexandria
Kinematic intensities with the Lorentz-polarization factor, no thermal factor.

Most intense lines, 2θ = 10–80°, by angle:
(1 1 2), 3.307 Å, 2θ = 26.96°, rel. 41
(0 6 0), 3.211 Å, 2θ = 27.78°, rel. 18
(1 1 3), 2.806 Å, 2θ = 31.89°, rel. 100
(1 5 2), 2.532 Å, 2θ = 35.45°, rel. 57
(0 8 0), 2.408 Å, 2θ = 37.34°, rel. 30
(1 1 4), 2.380 Å, 2θ = 37.81°, rel. 20
(0 2 5), 2.304 Å, 2θ = 39.10°, rel. 20
(0 6 4), 2.179 Å, 2θ = 41.45°, rel. 19
(2 0 0), 2.038 Å, 2θ = 44.46°, rel. 33
(1 7 3), 1.976 Å, 2θ = 45.93°, rel. 37

Structure:
```
data_Er3MgGa7
_cell_length_a 4.075
_cell_length_b 19.265
_cell_length_c 11.863
_cell_angle_alpha 90.00
_cell_angle_beta 90.00
_cell_angle_gamma 90.00
_space_group_name_H-M_alt 'C m c m'
_space_group_IT_number 63
_space_group_name_Hall '-C 2c 2'
loop_
_atom_site_label
_atom_site_fract_x
_atom_site_fract_y
_atom_site_fract_z
Er1 0.000 0.106 0.041
Er2 0.000 0.242 0.750
Mg1 0.000 0.043 0.750
Ga1 0.000 0.258 0.056
Ga2 0.000 0.370 0.147
Ga3 0.000 0.402 0.750
Ga4 0.000 0.496 0.102
```